Structure and simulated PXRD pattern of CuNF3 (a structure optimized by DFT (PBE); λ = 1.5418 Å (Cu Kα)).
Intensities are scaled so that the largest is 100.

Top 8 peaks for 2θ = 10–80°, sorted by position:
- 22.9°, 3.888 Å, rel. 100.0, (1 0 0)
- 32.6°, 2.749 Å, rel. 57.5, (1 1 0)
- 46.7°, 1.944 Å, rel. 47.5, (2 0 0)
- 52.6°, 1.739 Å, rel. 39.7, (2 1 0)
- 58.1°, 1.587 Å, rel. 19.9, (2 1 1)
- 68.2°, 1.375 Å, rel. 24.5, (2 2 0)
- 73.0°, 1.296 Å, rel. 16.9, (3 0 0)
- 77.7°, 1.229 Å, rel. 8.0, (3 1 0)

Crystal structure
```
data_CuNF3
_chemical_formula_sum 'Cu1 N1 F3'
_cell_length_a 3.888
_cell_length_b 3.888
_cell_length_c 3.888
_cell_angle_alpha 90.00
_cell_angle_beta 90.00
_cell_angle_gamma 90.00
_space_group_name_H-M_alt 'P m -3 m'
_space_group_IT_number 221
_space_group_name_Hall '-P 4 2 3'
loop_
_atom_site_label
_atom_site_type_symbol
_atom_site_fract_x
_atom_site_fract_y
_atom_site_fract_z
_atom_site_occupancy
Cu1 Cu 0.000 0.000 0.000 1
N1 N 0.500 0.500 0.500 1
F1 F 0.000 0.000 0.500 1
```